Record 1
The following is a computed PXRD pattern of YTm2In3CuPd2. It was derived from a DFT-relaxed cell (GGA-PBE, OQMD), using copper Kα.
No peak broadening, texture or thermal motion is included.

Structural model:
Cell: 3.694 13.446 7.727 Å, 90.00 90.00 90.00°
Space group Amm2 (No. 38)
Asymmetric unit:
Y  0.000  0.000  0.000 x2
Tm  0.000  0.204  0.612 x4
In  0.500  0.000  0.665 x2
In  0.500  0.129  0.280 x4
Cu  0.000  0.000  0.409 x2
Pd  0.500  0.169  0.907 x4

Most intense lines, 5° ≤ 2θ ≤ 70°, most intense first:
two_theta  d_spacing  I_rel  index
33.53  2.673  100.0  1 0 2
36.18  2.483  78.1  1 2 2
35.36  2.538  40.8  0 5 1
40.39  2.233  25.7  0 3 3
65.61  1.423  21.6  2 3 3
62.18  1.493  21.6  2 5 1
49.34  1.847  19.5  2 0 0
35.49  2.530  15.8  0 1 3
43.24  2.092  14.7  1 5 1
65.70  1.421  11.6  1 7 3



Record 2
The following is a computed PXRD pattern of SrLi3PrN3. It was derived from a DFT-relaxed cell (GGA-PBE, OQMD), using copper Kα.
No peak broadening, texture or thermal motion is included.

Structural model:
Cell: 6.6474 6.6474 18.1719 Å, 90.00 90.00 120.00°
Space group R-3 (No. 148, hexagonal axes)
Asymmetric unit:
Sr  0.0000  0.0000  0.1811 x6
Li  0.0053  0.2417  0.9543 x18
Pr  0.0000  0.0000  0.3726 x6
N  0.0006  0.6511  0.5981 x18

Most intense lines, 5° ≤ 2θ ≤ 70°, most intense first:
two_theta  d_spacing  I_rel  index
26.82  3.324  100.0  1 1 0
24.97  3.566  65.9  1 0 4
29.06  3.073  52.8  0 1 5
47.37  1.919  36.3  3 0 0
46.26  1.962  27.4  3 -1 4
36.97  2.431  27.1  0 2 4
48.78  1.867  25.5  1 2 5
39.96  2.256  24.1  2 0 5
16.15  5.488  22.5  1 0 1
18.24  4.863  19.9  0 1 2



Record 3
The following is a computed PXRD pattern of TbTm2N3. It was derived from a DFT-relaxed cell (GGA-PBE, OQMD), using copper Kα.
No peak broadening, texture or thermal motion is included.

Structural model:
Cell: 3.4240 3.4240 8.3823 Å, 90.00 90.00 120.00°
Space group P-3m1 (No. 164)
Asymmetric unit:
Tb  0.0000  0.0000  0.0000 x1
Tm  0.3333  0.6667  0.3356 x2
N  0.0000  0.0000  0.5000 x1
N  0.3333  0.6667  0.8281 x2

Most intense lines, 5° ≤ 2θ ≤ 70°, most intense first:
two_theta  d_spacing  I_rel  index
32.02  2.795  100.0  0 1 1
37.14  2.421  70.5  1 0 2
53.54  1.712  48.2  1 1 0
63.76  1.460  44.3  2 0 1
66.96  1.398  16.2  0 2 2